Starting from a GGA-PBE-relaxed structure, the PXRD pattern of Tb3HoSb3 was calculated for Cu Kα, 1.54184 Å.
Kinematic intensities with the Lorentz-polarization factor, no thermal factor.

Atomic structure:
Cell lengths 9.212, 9.212, 9.212 Å; angles 90.00, 90.00, 90.00 degrees
Atoms (fractional coordinates):
Tb: 0.071 0.429 0.571
Tb: 0.178 0.178 0.178
Tb: 0.178 0.822 0.322
Tb: 0.322 0.178 0.822
Tb: 0.322 0.822 0.678
Tb: 0.429 0.571 0.071
Tb: 0.571 0.071 0.429
Tb: 0.678 0.322 0.822
Tb: 0.678 0.678 0.678
Tb: 0.822 0.322 0.178
Tb: 0.822 0.678 0.322
Tb: 0.929 0.929 0.929
Ho: 0.072 0.572 0.928
Ho: 0.428 0.428 0.428
Ho: 0.572 0.928 0.072
Ho: 0.928 0.072 0.572
Sb: 0.001 0.252 0.874
Sb: 0.126 0.501 0.248
Sb: 0.248 0.126 0.501
Sb: 0.252 0.874 0.001
Sb: 0.374 0.499 0.748
Sb: 0.499 0.748 0.374
Sb: 0.501 0.248 0.126
Sb: 0.626 0.999 0.752
Sb: 0.748 0.374 0.499
Sb: 0.752 0.626 0.999
Sb: 0.874 0.001 0.252
Sb: 0.999 0.752 0.626

Largest 6 diffraction maxima, sorted by position, 10° ≤ 2θ ≤ 80°:
- 2θ 30.7, intensity 100.0
- 2θ 36.5, intensity 68.0
- 2θ 48.4, intensity 18.4
- 2θ 50.5, intensity 23.7
- 2θ 62.1, intensity 24.8
- 2θ 65.7, intensity 14.6



Starting from a GGA-PBE-relaxed structure, the PXRD pattern of SrWSe2 was calculated for Cu Kα, 1.54184 Å.
Kinematic intensities with the Lorentz-polarization factor, no thermal factor.

Atomic structure:
Cell lengths 4.777, 3.728, 11.191 Å; angles 90.00, 90.00, 90.00 degrees
Atoms (fractional coordinates):
Sr: 0.000 0.000 0.000
Sr: 0.000 0.500 0.500
W: 0.500 0.000 0.760
W: 0.500 0.500 0.260
Se: 0.000 0.000 0.720
Se: 0.000 0.500 0.220
Se: 0.500 0.000 0.415
Se: 0.500 0.500 0.915

Largest 6 diffraction maxima, sorted by position, 10° ≤ 2θ ≤ 80°:
- 2θ 24.5, intensity 78.3
- 2θ 25.2, intensity 90.0
- 2θ 34.0, intensity 100.0
- 2θ 37.7, intensity 60.4
- 2θ 39.0, intensity 74.8
- 2θ 51.6, intensity 66.3



Starting from a GGA-PBE-relaxed structure, the PXRD pattern of HgPbAuO4 was calculated for Cu Kα, 1.54184 Å.
Kinematic intensities with the Lorentz-polarization factor, no thermal factor.

Atomic structure:
Cell lengths 7.126, 7.126, 7.126 Å; angles 126.56, 123.90, 81.18 degrees
Atoms (fractional coordinates):
Hg: 0.405 0.155 0.250
Hg: 0.595 0.845 0.750
Pb: 0.000 0.500 0.500
Pb: 0.500 0.500 0.000
Au: 0.000 0.000 0.500
Au: 0.000 0.500 0.000
O: 0.169 0.718 0.451
O: 0.232 0.282 0.951
O: 0.273 0.298 0.525
O: 0.273 0.748 0.975
O: 0.727 0.252 0.025
O: 0.727 0.702 0.475
O: 0.768 0.718 0.049
O: 0.831 0.282 0.549

Largest 6 diffraction maxima, sorted by position, 10° ≤ 2θ ≤ 80°:
- 2θ 25.3, intensity 52.7
- 2θ 28.4, intensity 82.7
- 2θ 31.2, intensity 88.2
- 2θ 31.4, intensity 75.5
- 2θ 32.0, intensity 100.0
- 2θ 52.0, intensity 74.3